Structure and theoretical powder X-ray diffraction pattern of Ho3Si3Pd2 (a PBE-relaxed structure; copper Kα).
Intensities are scaled so that the largest is 100.

```
Ho3Si3Pd2
1.0
7.872 0.000 0.000
0.000 14.166 0.000
0.000 0.000 5.685
Ho Si Pd
12 12 8
direct
0.039 0.110 0.133
0.039 0.390 0.133
0.187 0.250 0.619
0.313 0.750 0.119
0.461 0.610 0.633
0.461 0.890 0.633
0.539 0.110 0.367
0.539 0.390 0.367
0.687 0.250 0.881
0.813 0.750 0.381
0.961 0.610 0.867
0.961 0.890 0.867
0.175 0.750 0.607
0.199 0.041 0.604
0.199 0.459 0.604
0.301 0.541 0.104
0.301 0.959 0.104
0.325 0.250 0.107
0.675 0.750 0.893
0.699 0.041 0.896
0.699 0.459 0.896
0.801 0.541 0.396
0.801 0.959 0.396
0.825 0.250 0.393
0.092 0.601 0.377
0.092 0.899 0.377
0.408 0.101 0.877
0.408 0.399 0.877
0.592 0.601 0.123
0.592 0.899 0.123
0.908 0.101 0.623
0.908 0.399 0.623
```

Principal peaks in the range 10° ≤ 2θ ≤ 90°, by angle:
- hkl 1 3 1, 27.03 deg, intensity 47
- hkl 2 1 1, 28.29 deg, intensity 37
- hkl 2 4 0, 34.05 deg, intensity 94
- hkl 1 1 2, 34.13 deg, intensity 100
- hkl 2 4 1, 37.65 deg, intensity 61
- hkl 3 0 1, 37.76 deg, intensity 37
- hkl 0 6 0, 38.12 deg, intensity 39
- hkl 1 3 2, 38.70 deg, intensity 89
- hkl 4 0 1, 48.98 deg, intensity 31
- hkl 1 7 2, 57.08 deg, intensity 48